Theoretical powder diffraction line list of TiNiO3 for copper Kα, from a cell relaxed with GGA+U.
Peak positions follow from Bragg's law for the DFT cell and can differ from measured ones.

Structure:
abc: 5.4960 5.4960 5.4960
angles: 54.99 54.99 54.99
Positions (direct):
Ti 0.0000 0.0000 0.0000
Ti 0.5000 0.5000 0.5000
Ni 0.2087 0.2087 0.2087
Ni 0.7087 0.7087 0.7087
O 0.1325 0.7860 0.4034
O 0.2860 0.6325 0.9034
O 0.4034 0.1325 0.7860
O 0.6325 0.9034 0.2860
O 0.7860 0.4034 0.1325
O 0.9034 0.2860 0.6325

Principal peaks in the range 10 to 80 degrees two-theta, low angle first:
3.718 Å, I 33.6; 2.732 Å, I 100.0; 2.537 Å, I 71.1; 2.227 Å, I 19.4; 1.859 Å, I 37.1; 1.714 Å, I 52.2; 1.500 Å, I 31.5; 1.465 Å, I 31.8